Entry 1:
# LiVPO4
Calculated powder X-ray diffraction pattern, Cu Kα, 1.54184 Å. Input: a structure optimized by DFT (PBE+U).

Cell and atoms:
a = 5.7076 Å, b = 11.2222 Å, c = 9.9769 Å
α = 90.00°, β = 91.98°, γ = 90.00°
Fractional coordinates of all 56 atoms:
Li (0.0418, 0.1600, 0.3298)
Li (0.0418, 0.3400, 0.8298)
Li (0.4189, 0.6101, 0.0699)
Li (0.4189, 0.8899, 0.5699)
Li (0.5811, 0.1101, 0.4301)
Li (0.5811, 0.3899, 0.9301)
Li (0.9582, 0.6600, 0.1702)
Li (0.9582, 0.8400, 0.6702)
V (0.1690, 0.6288, 0.5161)
V (0.1690, 0.8712, 0.0161)
V (0.3684, 0.0996, 0.7702)
V (0.3684, 0.4004, 0.2702)
V (0.6316, 0.5996, 0.7298)
V (0.6316, 0.9004, 0.2298)
V (0.8310, 0.1288, 0.9839)
V (0.8310, 0.3712, 0.4839)
P (0.1223, 0.6057, 0.8526)
P (0.1223, 0.8943, 0.3526)
P (0.3810, 0.1421, 0.0942)
P (0.3810, 0.3579, 0.5942)
P (0.6190, 0.6421, 0.4058)
P (0.6190, 0.8579, 0.9058)
P (0.8777, 0.1057, 0.6474)
P (0.8777, 0.3943, 0.1474)
O (0.0818, 0.0144, 0.6582)
O (0.0818, 0.4856, 0.1582)
O (0.1008, 0.6858, 0.9792)
O (0.1008, 0.8142, 0.4792)
O (0.1190, 0.6824, 0.7217)
O (0.1190, 0.8176, 0.2217)
O (0.1694, 0.0598, 0.0589)
O (0.1694, 0.4402, 0.5589)
O (0.3072, 0.2272, 0.2042)
O (0.3072, 0.2728, 0.7042)
O (0.3653, 0.5392, 0.8695)
O (0.3653, 0.9608, 0.3695)
O (0.3973, 0.5718, 0.3557)
O (0.3973, 0.9282, 0.8557)
O (0.4601, 0.2039, 0.9611)
O (0.4601, 0.2961, 0.4611)
O (0.5399, 0.7039, 0.5389)
O (0.5399, 0.7961, 0.0389)
O (0.6027, 0.0718, 0.1443)
O (0.6027, 0.4282, 0.6443)
O (0.6347, 0.0392, 0.6305)
O (0.6347, 0.4608, 0.1305)
O (0.6928, 0.7272, 0.2958)
O (0.6928, 0.7728, 0.7958)
O (0.8306, 0.5598, 0.4411)
O (0.8306, 0.9402, 0.9411)
O (0.8810, 0.1824, 0.7783)
O (0.8810, 0.3176, 0.2783)
O (0.8992, 0.1858, 0.5208)
O (0.8992, 0.3142, 0.0208)
O (0.9182, 0.5144, 0.8418)
O (0.9182, 0.9856, 0.3418)

Peak list (12 most intense, 10 to 80 degrees two-theta, in order of falling intensity)
- 2θ = 11.9°, d = 7.454 Å, intensity 100
- 2θ = 32.4°, d = 2.764 Å, intensity 89
- 2θ = 31.7°, d = 2.822 Å, intensity 86
- 2θ = 18.1°, d = 4.890 Å, intensity 84
- 2θ = 25.4°, d = 3.504 Å, intensity 66
- 2θ = 35.5°, d = 2.526 Å, intensity 54
- 2θ = 31.9°, d = 2.806 Å, intensity 35
- 2θ = 33.9°, d = 2.641 Å, intensity 31
- 2θ = 19.5°, d = 4.556 Å, intensity 30
- 2θ = 51.4°, d = 1.778 Å, intensity 26
- 2θ = 28.0°, d = 3.187 Å, intensity 23
- 2θ = 29.9°, d = 2.992 Å, intensity 21


Entry 2:
# NaFe2O4
Calculated powder X-ray diffraction pattern, Cu Kα, 1.54184 Å. Input: a structure optimized by DFT (PBE+U).

Cell and atoms:
a = 6.1126 Å, b = 6.1126 Å, c = 6.1126 Å
α = 120.66°, β = 119.18°, γ = 90.15°
Fractional coordinates of all 14 atoms:
Na (0.3746, 0.1246, 0.2500)
Na (0.6254, 0.8754, 0.7500)
Fe (0.0000, 0.0000, 0.5000)
Fe (0.0000, 0.5000, 0.0000)
Fe (0.0000, 0.5000, 0.5000)
Fe (0.5000, 0.5000, 0.0000)
O (0.1916, 0.7378, 0.4538)
O (0.2160, 0.2622, 0.9538)
O (0.2221, 0.2523, 0.5302)
O (0.2221, 0.6919, 0.9698)
O (0.7779, 0.3081, 0.0302)
O (0.7779, 0.7477, 0.4698)
O (0.7840, 0.7378, 0.0462)
O (0.8084, 0.2622, 0.5462)

Peak list (12 most intense, 10 to 80 degrees two-theta, in order of falling intensity)
- 2θ = 17.6°, d = 5.030 Å, intensity 100
- 2θ = 34.6°, d = 2.595 Å, intensity 83
- 2θ = 17.9°, d = 4.956 Å, intensity 74
- 2θ = 41.8°, d = 2.163 Å, intensity 67
- 2θ = 60.6°, d = 1.528 Å, intensity 61
- 2θ = 34.2°, d = 2.625 Å, intensity 56
- 2θ = 41.9°, d = 2.158 Å, intensity 33
- 2θ = 54.9°, d = 1.672 Å, intensity 27
- 2θ = 34.4°, d = 2.609 Å, intensity 25
- 2θ = 55.3°, d = 1.662 Å, intensity 24
- 2θ = 55.4°, d = 1.658 Å, intensity 21
- 2θ = 35.7°, d = 2.515 Å, intensity 17


Entry 3:
# CoCu3P4O16
Calculated powder X-ray diffraction pattern, Cu Kα, 1.54184 Å. Input: a structure optimized by DFT (PBE+U).

Cell and atoms:
a = 5.1333 Å, b = 5.9856 Å, c = 9.9983 Å
α = 90.00°, β = 92.93°, γ = 90.00°
Fractional coordinates of all 24 atoms:
Co (0.0000, 0.0000, 0.0000)
Cu (0.1878, 0.5000, 0.6031)
Cu (0.4196, 0.5000, 0.1011)
Cu (0.6955, 0.0000, 0.4817)
P (0.1451, 0.0000, 0.6882)
P (0.4987, 0.0000, 0.1850)
P (0.6190, 0.5000, 0.4042)
P (0.9878, 0.5000, 0.8956)
O (0.1999, 0.0000, 0.8402)
O (0.2856, 0.1999, 0.6220)
O (0.2856, 0.8001, 0.6220)
O (0.2881, 0.5000, 0.9268)
O (0.3259, 0.5000, 0.4314)
O (0.3303, 0.1932, 0.1148)
O (0.3303, 0.8068, 0.1148)
O (0.4535, 0.0000, 0.3373)
O (0.6446, 0.5000, 0.2500)
O (0.7779, 0.3020, 0.4679)
O (0.7779, 0.6980, 0.4679)
O (0.7875, 0.0000, 0.1610)
O (0.8465, 0.0000, 0.6564)
O (0.8559, 0.2918, 0.9565)
O (0.8559, 0.7082, 0.9565)
O (0.9535, 0.5000, 0.7405)

Peak list (12 most intense, 10 to 80 degrees two-theta, in order of falling intensity)
- 2θ = 19.1°, d = 4.658 Å, intensity 100
- 2θ = 29.9°, d = 2.993 Å, intensity 83
- 2θ = 17.8°, d = 4.993 Å, intensity 70
- 2θ = 35.7°, d = 2.516 Å, intensity 56
- 2θ = 19.9°, d = 4.469 Å, intensity 55
- 2θ = 24.2°, d = 3.673 Å, intensity 49
- 2θ = 36.2°, d = 2.485 Å, intensity 37
- 2θ = 24.9°, d = 3.581 Å, intensity 29
- 2θ = 29.6°, d = 3.014 Å, intensity 29
- 2θ = 28.5°, d = 3.130 Å, intensity 28
- 2θ = 36.6°, d = 2.453 Å, intensity 25
- 2θ = 31.3°, d = 2.859 Å, intensity 24


Entry 4:
# La3AlFe4O12
Calculated powder X-ray diffraction pattern, Cu Kα, 1.54184 Å. Input: a structure optimized by DFT (PBE+U).

Cell and atoms:
a = 5.4661 Å, b = 7.9793 Å, c = 5.5658 Å
α = 90.00°, β = 93.45°, γ = 90.00°
Fractional coordinates of all 20 atoms:
La (0.0000, 0.0000, 0.0000)
La (0.0244, 0.5000, 0.0826)
La (0.5218, 0.0000, 0.4870)
Al (0.5249, 0.5000, 0.5511)
Fe (0.0134, 0.2582, 0.5429)
Fe (0.0134, 0.7418, 0.5429)
Fe (0.5223, 0.2546, 0.0084)
Fe (0.5223, 0.7454, 0.0084)
O (0.0927, 0.0000, 0.5207)
O (0.1885, 0.2741, 0.8656)
O (0.1885, 0.7259, 0.8656)
O (0.3402, 0.3336, 0.3880)
O (0.3402, 0.6664, 0.3880)
O (0.4443, 0.0000, 0.0612)
O (0.5637, 0.5000, 0.8942)
O (0.7242, 0.1910, 0.7416)
O (0.7242, 0.8090, 0.7416)
O (0.8163, 0.2272, 0.2308)
O (0.8163, 0.7728, 0.2308)
O (0.8593, 0.5000, 0.5135)

Peak list (12 most intense, 10 to 80 degrees two-theta, in order of falling intensity)
- 2θ = 31.6°, d = 2.830 Å, intensity 100
- 2θ = 32.6°, d = 2.744 Å, intensity 77
- 2θ = 57.2°, d = 1.610 Å, intensity 44
- 2θ = 32.8°, d = 2.728 Å, intensity 43
- 2θ = 32.2°, d = 2.778 Å, intensity 43
- 2θ = 45.5°, d = 1.995 Å, intensity 28
- 2θ = 45.2°, d = 2.008 Å, intensity 22
- 2θ = 59.1°, d = 1.563 Å, intensity 19
- 2θ = 56.8°, d = 1.620 Å, intensity 18
- 2θ = 48.1°, d = 1.890 Å, intensity 18
- 2θ = 56.4°, d = 1.631 Å, intensity 15
- 2θ = 11.1°, d = 7.979 Å, intensity 13